# 1
# CrAgS2
Computed powder diffractogram, Cu Kα, 1.54184 Å. Input: a PBE-relaxed structure.

Structural model:
```
CrAgS2
1.0
13.970 0.000 0.000
0.000 3.481 0.000
-0.922 0.000 6.018
Cr Ag S
4 4 8
direct
0.000 0.240 0.000
0.000 0.760 0.500
0.500 0.260 0.500
0.500 0.740 0.000
0.269 0.249 0.423
0.269 0.751 0.923
0.769 0.251 0.923
0.769 0.749 0.423
0.093 0.258 0.364
0.093 0.742 0.864
0.402 0.243 0.134
0.402 0.757 0.634
0.593 0.242 0.864
0.593 0.758 0.364
0.902 0.257 0.634
0.902 0.743 0.134
```

Top 10 peaks for 2θ from 15° to 90°, low angle first:
- (4 0 0), 2θ = 25.81°, I 42
- (0 0 2), 2θ = 29.69°, I 44
- (1 1 -1), 2θ = 29.87°, I 86
- (2 0 -2), 2θ = 30.56°, I 26
- (1 1 1), 2θ = 30.85°, I 51
- (3 1 -1), 2θ = 34.30°, I 26
- (3 1 1), 2θ = 36.87°, I 33
- (4 0 2), 2θ = 42.72°, I 100
- (5 1 1), 2θ = 46.25°, I 28
- (1 1 -3), 2θ = 52.18°, I 43

=====

# 2
# Cr2AgS4
Computed powder diffractogram, Cu Kα, 1.54184 Å. Input: a PBE-relaxed structure.

Structural model:
```
Cr2AgS4
1.0
5.948 0.000 0.000
0.000 3.470 0.000
-0.206 0.000 6.379
Cr Ag S
2 1 4
direct
0.000 0.000 0.000
0.500 0.500 0.000
0.000 0.000 0.500
0.174 0.500 0.209
0.330 0.000 0.794
0.670 0.000 0.206
0.826 0.500 0.791
```

Top 10 peaks for 2θ from 15° to 90°, low angle first:
- (1 0 -1), 2θ = 20.09°, I 40
- (1 0 1), 2θ = 20.75°, I 38
- (0 1 1), 2θ = 29.30°, I 31
- (1 1 0), 2θ = 29.81°, I 59
- (1 1 -1), 2θ = 32.81°, I 39
- (2 0 -2), 2θ = 40.82°, I 55
- (1 1 -2), 2θ = 40.99°, I 44
- (1 1 2), 2θ = 41.69°, I 100
- (2 0 2), 2θ = 42.19°, I 34
- (3 1 0), 2θ = 53.23°, I 52

=====

# 3
# CrAgS2
Computed powder diffractogram, Cu Kα, 1.54184 Å. Input: a PBE-relaxed structure.

Structural model:
```
CrAgS2
1.0
3.540 0.000 0.000
0.000 6.035 0.000
0.012 2.049 6.875
Cr Ag S
2 2 4
direct
0.000 0.000 0.000
0.499 0.488 0.001
0.000 0.145 0.542
0.499 0.650 0.537
0.001 0.723 0.809
0.499 0.768 0.180
0.501 0.227 0.800
0.999 0.266 0.188
```

Top 10 peaks for 2θ from 15° to 90°, low angle first:
- (0 0 2), 2θ = 25.92°, I 48
- (1 1 0), 2θ = 29.58°, I 100
- (0 2 1), 2θ = 29.90°, I 49
- (1 1 1), 2θ = 30.51°, I 60
- (0 2 0), 2θ = 30.92°, I 29
- (-1 1 2), 2θ = 36.56°, I 38
- (1 -1 2), 2θ = 42.70°, I 77
- (0 2 3), 2θ = 42.78°, I 38
- (-1 1 3), 2θ = 46.01°, I 33
- (1 3 1), 2θ = 52.30°, I 48